Theoretical powder diffractogram
Compound: Cd2SiO4
Radiation: a wavelength of 1.5418 Å
Structure: a structure optimized by DFT (GGA-PBE)
No peak broadening, texture or thermal motion is included.

Structure:
```
data_Cd2SiO4
_space_group_name_H-M_alt 'P 1'
_space_group_IT_number 1
_space_group_name_Hall 'P 1'
_cell_length_a 6.2356
_cell_length_b 6.2356
_cell_length_c 6.2356
_cell_angle_alpha 60.00
_cell_angle_beta 60.00
_cell_angle_gamma 60.00
loop_
_atom_site_label
_atom_site_type_symbol
_atom_site_fract_x
_atom_site_fract_y
_atom_site_fract_z
Cd1 Cd 0.0000 0.0000 0.0000
Cd2 Cd 0.0000 0.0000 0.5000
Cd3 Cd 0.0000 0.5000 0.0000
Cd4 Cd 0.5000 0.0000 0.0000
Si1 Si 0.3750 0.3750 0.3750
Si2 Si 0.6250 0.6250 0.6250
O1 O 0.2651 0.2651 0.2651
O2 O 0.2651 0.2651 0.7046
O3 O 0.2651 0.7046 0.2651
O4 O 0.2954 0.7349 0.7349
O5 O 0.7046 0.2651 0.2651
O6 O 0.7349 0.2954 0.7349
O7 O 0.7349 0.7349 0.2954
O8 O 0.7349 0.7349 0.7349
```

The 10 most intense peaks (10 to 90 degrees two-theta), sorted by position:
Position (°2θ)	intensity
17.42	60
33.71	100
35.26	43
40.94	51
44.80	27
54.03	28
59.28	45
62.29	13
70.88	20
84.36	22